# LiFe2P2O8
Theoretical powder X-ray diffraction pattern, a wavelength of 1.5418 Å. Input: the GGA+U geometry in Alexandria.

Cell and atoms:
a = 8.4151 Å, b = 5.2233 Å, c = 8.6621 Å
α = 90.00°, β = 107.90°, γ = 90.00°
Space group Pc (No. 7)
Unique sites:
Li 0.0000 0.1666 0.0000 (multiplicity 2)
Fe 0.3769 0.1842 0.9399 (multiplicity 2)
Fe 0.8424 0.3229 0.5914 (multiplicity 2)
P 0.2351 0.3101 0.5616 (multiplicity 2)
P 0.7590 0.1705 0.2212 (multiplicity 2)
O 0.0692 0.2002 0.5696 (multiplicity 2)
O 0.2183 0.4006 0.0070 (multiplicity 2)
O 0.2929 0.1545 0.4354 (multiplicity 2)
O 0.3708 0.2908 0.7299 (multiplicity 2)
O 0.5923 0.1548 0.0778 (multiplicity 2)
O 0.7235 0.3191 0.3586 (multiplicity 2)
O 0.8258 0.1038 0.7754 (multiplicity 2)
O 0.8887 0.3051 0.1536 (multiplicity 2)

The 10 most intense peaks (10 to 90 degrees two-theta), most intense first:
two_theta, I/Imax, hkl
21.33, 1000, 1 1 -1
22.20, 918, 2 0 0
27.19, 735, 1 0 2
27.52, 482, 2 1 -1
31.06, 312, 2 1 -2
21.56, 300, 0 0 2
34.34, 283, 0 2 0
46.65, 224, 3 0 -4
20.99, 197, 1 0 -2
36.97, 169, 0 1 3